This entry pairs a crystal structure of HoPu3Pd12 with its theoretical powder diffraction line list. Radiation: Cu Ka. Structure: a cell relaxed with GGA-PBE.
Peak positions follow from Bragg's law for the DFT cell and can differ from measured ones.

Peak list (12 most intense, 5 to 70 degrees two-theta, most intense first)
hkl 1 1 4, 2θ 37.64, intensity 100
hkl 2 0 0, 2θ 43.79, intensity 33
hkl 2 0 8, 2θ 63.54, intensity 21
hkl 0 0 8, 2θ 43.64, intensity 16
hkl 1 0 0, 2θ 21.47, intensity 12
hkl 2 2 0, 2θ 63.66, intensity 11
hkl 1 1 0, 2θ 30.55, intensity 10
hkl 2 1 4, 2θ 54.29, intensity 4
hkl 2 1 0, 2θ 49.27, intensity 4
hkl 2 2 4, 2θ 67.94, intensity 2
hkl 1 0 8, 2θ 49.15, intensity 2
hkl 0 0 1, 2θ 5.33, intensity 1

Atomic structure:
```
data_HoPu3Pd12
_chemical_formula_sum 'Ho1 Pu3 Pd12'
_cell_length_a 4.135
_cell_length_b 4.135
_cell_length_c 16.591
_cell_angle_alpha 90.00
_cell_angle_beta 90.00
_cell_angle_gamma 90.00
_symmetry_space_group_name_H-M 'P 4/m m m'
_symmetry_Int_Tables_number 123
_symmetry_space_group_name_Hall '-P 4 2'
loop_
_atom_site_label
_atom_site_fract_x
_atom_site_fract_y
_atom_site_fract_z
Ho1 0.000 0.000 0.000
Pu1 0.000 0.000 0.247
Pu2 0.000 0.000 0.500
Pd1 0.000 0.500 0.124
Pd2 0.000 0.500 0.374
Pd3 0.500 0.500 0.000
Pd4 0.500 0.500 0.249
Pd5 0.500 0.500 0.500
```